For Sb6W7, the PBE geometry in Alexandria gives the computed X-ray powder pattern in this record (Cu Kα, 1.54184 Å).

Atomic structure:
```
data_Sb6W7
_cell_length_a 5.5912
_cell_length_b 5.5912
_cell_length_c 28.9876
_cell_angle_alpha 90.00
_cell_angle_beta 90.00
_cell_angle_gamma 120.00
_symmetry_space_group_name_H-M 'R -3 m'
_symmetry_Int_Tables_number 166
_symmetry_space_group_name_Hall '-R 3 2"'
loop_
_atom_site_label
_atom_site_fract_x
_atom_site_fract_y
_atom_site_fract_z
Sb1 0.0000 0.0000 0.0558
Sb2 0.0000 0.0000 0.1733
Sb3 0.0000 0.0000 0.3325
W1 0.0000 0.0000 0.5000
W2 0.0072 0.5036 0.0812
```

Top 6 peaks for 10 to 90 degrees two-theta, by intensity:
index  Position (°2θ)  d_spacing  Rel. int.
0 0 12  37.18  2.418  100
0 2 7  43.29  2.090  54
0 2 1  37.27  2.413  39
2 0 5  40.37  2.234  39
2 2 0  66.94  1.398  29
2 2 12  79.17  1.210  28

For Y3Sb2, the PBE geometry in Alexandria gives the computed X-ray powder pattern in this record (Cu Kα, 1.54184 Å).

Atomic structure:
```
data_Y3Sb2
_cell_length_a 8.467
_cell_length_b 11.553
_cell_length_c 6.267
_cell_angle_alpha 90.00
_cell_angle_beta 90.00
_cell_angle_gamma 90.00
_symmetry_space_group_name_H-M 'I b a m'
_symmetry_Int_Tables_number 72
_symmetry_space_group_name_Hall '-I 2 2c'
loop_
_atom_site_label
_atom_site_fract_x
_atom_site_fract_y
_atom_site_fract_z
Y1 0.000 0.000 0.250
Y2 0.143 0.347 0.000
Sb1 0.213 0.391 0.500
```

Top 6 peaks for 10 to 90 degrees two-theta, by intensity:
index  Position (°2θ)  d_spacing  Rel. int.
1 3 0  25.41  3.505  100
0 4 2  42.57  2.124  97
2 0 2  35.65  2.519  97
3 1 0  32.66  2.742  95
1 1 2  31.41  2.848  89
3 2 1  38.29  2.351  83

For Y3Sb, the PBE geometry in Alexandria gives the computed X-ray powder pattern in this record (Cu Kα, 1.54184 Å).

Atomic structure:
```
data_Y3Sb
_cell_length_a 4.028
_cell_length_b 5.193
_cell_length_c 11.285
_cell_angle_alpha 90.00
_cell_angle_beta 90.00
_cell_angle_gamma 90.00
_symmetry_space_group_name_H-M 'I m m m'
_symmetry_Int_Tables_number 71
_symmetry_space_group_name_Hall '-I 2 2'
loop_
_atom_site_label
_atom_site_fract_x
_atom_site_fract_y
_atom_site_fract_z
Y1 0.000 0.000 0.000
Y2 0.000 0.500 0.217
Sb1 0.000 0.000 0.500
```

Top 6 peaks for 10 to 90 degrees two-theta, by intensity:
index  Position (°2θ)  d_spacing  Rel. int.
1 1 2  32.29  2.772  100
0 2 0  34.54  2.597  23
0 0 4  31.71  2.821  21
1 3 2  60.48  1.531  16
0 2 4  47.59  1.911  13
2 0 0  45.01  2.014  11

For Y5Sb3, the PBE geometry in Alexandria gives the computed X-ray powder pattern in this record (Cu Kα, 1.54184 Å).

Atomic structure:
```
data_Y5Sb3
_cell_length_a 6.204
_cell_length_b 16.874
_cell_length_c 8.982
_cell_angle_alpha 90.00
_cell_angle_beta 110.13
_cell_angle_gamma 90.00
_symmetry_space_group_name_H-M 'C 1 2/m 1'
_symmetry_Int_Tables_number 12
_symmetry_space_group_name_Hall '-C 2y'
loop_
_atom_site_label
_atom_site_fract_x
_atom_site_fract_y
_atom_site_fract_z
Y1 0.103 0.181 0.203
Y2 0.181 0.399 0.362
Y3 0.250 0.000 0.000
Sb1 0.000 0.250 0.500
Sb2 0.000 0.337 0.000
Sb3 0.162 0.000 0.326
```

Top 6 peaks for 10 to 90 degrees two-theta, by intensity:
index  Position (°2θ)  d_spacing  Rel. int.
1 5 1  34.20  2.622  100
0 6 1  33.60  2.667  58
2 2 -2  32.54  2.752  57
1 1 2  30.62  2.919  39
2 0 1  35.94  2.499  33
2 0 2  43.39  2.085  28

For Y3Sb, the PBE geometry in Alexandria gives the computed X-ray powder pattern in this record (Cu Kα, 1.54184 Å).

Atomic structure:
```
data_Y3Sb
_cell_length_a 3.6483
_cell_length_b 3.6483
_cell_length_c 10.6101
_cell_angle_alpha 90.00
_cell_angle_beta 90.00
_cell_angle_gamma 120.00
_symmetry_space_group_name_H-M 'P -6 m 2'
_symmetry_Int_Tables_number 187
_symmetry_space_group_name_Hall 'P -6 2'
loop_
_atom_site_label
_atom_site_fract_x
_atom_site_fract_y
_atom_site_fract_z
Y1 0.0000 0.0000 0.0000
Y2 0.6667 0.3333 0.2722
Sb1 0.0000 0.0000 0.5000
```

Top 6 peaks for 10 to 90 degrees two-theta, by intensity:
index  Position (°2θ)  d_spacing  Rel. int.
1 0 2  33.00  2.715  100
1 0 0  28.24  3.160  27
1 1 0  50.00  1.824  21
1 1 4  61.72  1.503  19
0 0 4  33.79  2.653  19
2 0 2  61.22  1.514  16

For YSb2, the PBE geometry in Alexandria gives the computed X-ray powder pattern in this record (Cu Kα, 1.54184 Å).

Atomic structure:
```
data_YSb2
_cell_length_a 4.372
_cell_length_b 18.749
_cell_length_c 4.459
_cell_angle_alpha 90.00
_cell_angle_beta 90.00
_cell_angle_gamma 90.00
_symmetry_space_group_name_H-M 'I m m 2'
_symmetry_Int_Tables_number 44
_symmetry_space_group_name_Hall 'I 2 -2'
loop_
_atom_site_label
_atom_site_fract_x
_atom_site_fract_y
_atom_site_fract_z
Y1 0.000 0.169 0.000
Sb1 0.000 0.000 0.080
Sb2 0.000 0.336 0.004
Sb3 0.000 0.500 0.144
```

Top 6 peaks for 10 to 90 degrees two-theta, by intensity:
index  Position (°2θ)  d_spacing  Rel. int.
0 6 0  28.58  3.123  100
1 6 1  40.86  2.209  48
1 12 1  66.99  1.397  18
2 6 0  50.98  1.791  14
2 0 0  41.30  2.186  13
0 12 0  59.17  1.562  10

For Y6Zn2Sb, the PBE geometry in Alexandria gives the computed X-ray powder pattern in this record (Cu Kα, 1.54184 Å).

Atomic structure:
```
data_Y6Zn2Sb
_cell_length_a 9.759
_cell_length_b 10.003
_cell_length_c 10.088
_cell_angle_alpha 90.00
_cell_angle_beta 90.00
_cell_angle_gamma 90.00
_symmetry_space_group_name_H-M 'I m m m'
_symmetry_Int_Tables_number 71
_symmetry_space_group_name_Hall '-I 2 2'
loop_
_atom_site_label
_atom_site_fract_x
_atom_site_fract_y
_atom_site_fract_z
Y1 0.000 0.213 0.178
Y2 0.180 0.229 0.500
Y3 0.209 0.500 0.257
Zn1 0.000 0.000 0.374
Zn2 0.133 0.000 0.000
Sb1 0.000 0.500 0.000
Sb2 0.000 0.500 0.500
```

Top 6 peaks for 10 to 90 degrees two-theta, by intensity:
index  Position (°2θ)  d_spacing  Rel. int.
2 2 2  31.15  2.871  100
3 1 2  34.03  2.635  82
1 2 3  33.40  2.683  41
0 4 0  35.91  2.501  37
3 5 2  57.05  1.614  20
0 3 3  37.97  2.370  19

For YZr2Sb, the PBE geometry in Alexandria gives the computed X-ray powder pattern in this record (Cu Kα, 1.54184 Å).

Atomic structure:
```
data_YZr2Sb
_cell_length_a 4.635
_cell_length_b 3.847
_cell_length_c 11.430
_cell_angle_alpha 90.00
_cell_angle_beta 90.00
_cell_angle_gamma 90.00
_symmetry_space_group_name_H-M 'A m m 2'
_symmetry_Int_Tables_number 38
_symmetry_space_group_name_Hall 'A 2 -2'
loop_
_atom_site_label
_atom_site_fract_x
_atom_site_fract_y
_atom_site_fract_z
Y1 0.000 0.000 0.000
Zr1 0.000 0.000 0.266
Zr2 0.500 0.000 0.709
Sb1 0.500 0.000 0.426
```

Top 6 peaks for 10 to 90 degrees two-theta, by intensity:
index  Position (°2θ)  d_spacing  Rel. int.
1 1 1  31.23  2.864  100
1 1 3  38.51  2.338  59
1 0 4  36.96  2.432  33
2 0 0  38.86  2.317  28
0 1 3  33.09  2.707  20
0 2 0  47.25  1.924  16

For YZrSb, the PBE geometry in Alexandria gives the computed X-ray powder pattern in this record (Cu Kα, 1.54184 Å).

Atomic structure:
```
data_YZrSb
_cell_length_a 4.278
_cell_length_b 4.278
_cell_length_c 16.661
_cell_angle_alpha 90.00
_cell_angle_beta 90.00
_cell_angle_gamma 90.00
_symmetry_space_group_name_H-M 'I 4/m m m'
_symmetry_Int_Tables_number 139
_symmetry_space_group_name_Hall '-I 4 2'
loop_
_atom_site_label
_atom_site_fract_x
_atom_site_fract_y
_atom_site_fract_z
Y1 0.000 0.000 0.177
Zr1 0.000 0.500 0.000
Sb1 0.000 0.000 0.367
```

Top 6 peaks for 10 to 90 degrees two-theta, by intensity:
index  Position (°2θ)  d_spacing  Rel. int.
1 1 4  36.72  2.448  100
1 1 2  31.46  2.844  71
2 0 0  42.25  2.139  56
1 0 5  34.10  2.629  36
0 0 6  32.24  2.777  30
2 0 6  54.12  1.695  26

For Y2ZrSb3, the PBE geometry in Alexandria gives the computed X-ray powder pattern in this record (Cu Kα, 1.54184 Å).

Atomic structure:
```
data_Y2ZrSb3
_cell_length_a 4.300
_cell_length_b 4.300
_cell_length_c 18.217
_cell_angle_alpha 90.00
_cell_angle_beta 90.00
_cell_angle_gamma 90.00
_symmetry_space_group_name_H-M 'I 4/m m m'
_symmetry_Int_Tables_number 139
_symmetry_space_group_name_Hall '-I 4 2'
loop_
_atom_site_label
_atom_site_fract_x
_atom_site_fract_y
_atom_site_fract_z
Y1 0.000 0.000 0.168
Zr1 0.000 0.000 0.500
Sb1 0.000 0.000 0.000
Sb2 0.000 0.000 0.338
```

Top 6 peaks for 10 to 90 degrees two-theta, by intensity:
index  Position (°2θ)  d_spacing  Rel. int.
1 1 0  29.39  3.039  100
2 0 0  42.05  2.149  74
3 1 0  69.11  1.359  32
2 0 6  52.13  1.755  26
3 1 6  76.83  1.241  24
2 2 0  60.97  1.520  12

For Yb5Sb3, the PBE geometry in Alexandria gives the computed X-ray powder pattern in this record (Cu Kα, 1.54184 Å).

Atomic structure:
```
data_Yb5Sb3
_cell_length_a 9.0075
_cell_length_b 9.0075
_cell_length_c 6.7640
_cell_angle_alpha 90.00
_cell_angle_beta 90.00
_cell_angle_gamma 120.00
_symmetry_space_group_name_H-M 'P 63/m c m'
_symmetry_Int_Tables_number 193
_symmetry_space_group_name_Hall '-P 6c 2'
loop_
_atom_site_label
_atom_site_fract_x
_atom_site_fract_y
_atom_site_fract_z
Yb1 0.0000 0.2496 0.2500
Yb2 0.3333 0.6667 0.0000
Sb1 0.0000 0.3910 0.7500
```

Top 6 peaks for 10 to 90 degrees two-theta, by intensity:
index  Position (°2θ)  d_spacing  Rel. int.
1 1 2  33.14  2.704  100
3 0 0  34.49  2.600  26
2 1 0  30.31  2.948  17
2 1 3  50.99  1.791  16
0 0 4  54.28  1.690  15
3 0 4  65.91  1.417  15

For YbZn2Sb2, the PBE geometry in Alexandria gives the computed X-ray powder pattern in this record (Cu Kα, 1.54184 Å).

Atomic structure:
```
data_YbZn2Sb2
_cell_length_a 7.143
_cell_length_b 5.348
_cell_length_c 6.859
_cell_angle_alpha 90.00
_cell_angle_beta 102.83
_cell_angle_gamma 90.00
_symmetry_space_group_name_H-M 'C 1 2/m 1'
_symmetry_Int_Tables_number 12
_symmetry_space_group_name_Hall '-C 2y'
loop_
_atom_site_label
_atom_site_fract_x
_atom_site_fract_y
_atom_site_fract_z
Yb1 0.000 0.000 0.000
Zn1 0.000 0.241 0.500
Sb1 0.182 0.500 0.251
```

Top 6 peaks for 10 to 90 degrees two-theta, by intensity:
index  Position (°2θ)  d_spacing  Rel. int.
1 1 1  26.36  3.381  100
2 2 -1  42.97  2.105  47
2 0 -2  32.75  2.734  43
1 1 -2  31.76  2.818  33
3 1 0  42.45  2.129  32
0 2 1  36.18  2.483  29

For Zn2Sb, the PBE geometry in Alexandria gives the computed X-ray powder pattern in this record (Cu Kα, 1.54184 Å).

Atomic structure:
```
data_Zn2Sb
_cell_length_a 4.015
_cell_length_b 10.518
_cell_length_c 5.694
_cell_angle_alpha 90.00
_cell_angle_beta 90.00
_cell_angle_gamma 90.00
_symmetry_space_group_name_H-M 'C m c m'
_symmetry_Int_Tables_number 63
_symmetry_space_group_name_Hall '-C 2c 2'
loop_
_atom_site_label
_atom_site_fract_x
_atom_site_fract_y
_atom_site_fract_z
Zn1 0.000 0.000 0.000
Zn2 0.000 0.365 0.250
Sb1 0.000 0.341 0.750
```

Top 6 peaks for 10 to 90 degrees two-theta, by intensity:
index  Position (°2θ)  d_spacing  Rel. int.
1 3 0  33.95  2.641  100
1 1 2  39.75  2.268  69
0 4 2  47.04  1.932  30
2 0 0  45.17  2.007  25
0 2 2  35.87  2.504  24
2 4 2  67.26  1.392  20

For Zn5Sb3, the PBE geometry in Alexandria gives the computed X-ray powder pattern in this record (Cu Kα, 1.54184 Å).

Atomic structure:
```
data_Zn5Sb3
_cell_length_a 12.731
_cell_length_b 16.575
_cell_length_c 6.941
_cell_angle_alpha 90.00
_cell_angle_beta 90.00
_cell_angle_gamma 90.00
_symmetry_space_group_name_H-M 'F m m 2'
_symmetry_Int_Tables_number 42
_symmetry_space_group_name_Hall 'F 2 -2'
loop_
_atom_site_label
_atom_site_fract_x
_atom_site_fract_y
_atom_site_fract_z
Zn1 0.000 0.000 0.000
Zn2 0.000 0.000 0.454
Zn3 0.096 0.177 0.676
Zn4 0.172 0.095 0.032
Sb1 0.000 0.136 0.237
Sb2 0.168 0.000 0.692
Sb3 0.250 0.250 0.449
```

Top 6 peaks for 10 to 90 degrees two-theta, by intensity:
index  Position (°2θ)  d_spacing  Rel. int.
2 2 2  31.28  2.860  100
3 1 1  25.18  3.537  93
1 5 1  30.70  2.912  72
4 4 2  44.38  2.041  63
5 3 1  41.15  2.194  56
2 4 0  25.66  3.472  54